This entry pairs a crystal structure of Ce3Ga5Rh6 with its theoretical PXRD pattern. Radiation: Cu Kα X-rays. Structure: a cell relaxed with PBE.
Kinematic intensities with the Lorentz-polarization factor, no thermal factor.

Largest 6 diffraction maxima, by angle, 15° ≤ 2θ ≤ 90°:
2θ = 35.6°, I = 100, (1 3 2); 2θ = 36.1°, I = 20, (1 4 1); 2θ = 36.6°, I = 63, (0 3 3); 2θ = 39.2°, I = 42, (1 2 3); 2θ = 41.8°, I = 24, (0 6 0); 2θ = 42.1°, I = 54, (2 0 0)

Structure:
```
data_Ce3Ga5Rh6
_chemical_formula_sum 'Ce6 Ga10 Rh12'
_cell_length_a 4.2925
_cell_length_b 12.9742
_cell_length_c 8.9735
_cell_angle_alpha 90.00
_cell_angle_beta 90.00
_cell_angle_gamma 90.00
_symmetry_space_group_name_H-M 'P m m n'
_symmetry_Int_Tables_number 59
loop_
_symmetry_equiv_pos_as_xyz
'x,y,z'
'-x,-y,-z'
'-x+1/2,-y+1/2,z'
'x+1/2,y+1/2,-z'
'x+1/2,-y,-z'
'-x+1/2,y,z'
'-x,y+1/2,-z'
'x,-y+1/2,z'
loop_
_atom_site_label
_atom_site_type_symbol
_atom_site_fract_x
_atom_site_fract_y
_atom_site_fract_z
_atom_site_occupancy
Ce1 Ce 0.2500 0.0528 0.2494 1
Ce2 Ce 0.2500 0.7500 0.2773 1
Ga1 Ga 0.2500 0.0983 0.6237 1
Ga2 Ga 0.2500 0.6354 0.9826 1
Ga3 Ga 0.2500 0.7500 0.7097 1
Rh1 Rh 0.2500 0.0571 0.9025 1
Rh2 Rh 0.2500 0.2500 0.0938 1
Rh3 Rh 0.2500 0.2500 0.4466 1
Rh4 Rh 0.2500 0.5882 0.5262 1
```